# 1
The following is a theoretical powder XRD pattern of CuGe2Se4. It was derived from a DFT-relaxed cell (PBE, Alexandria), using Cu Kα, 1.54184 Å.

Structural model:
```
data_CuGe2Se4
_cell_length_a 5.6764
_cell_length_b 5.6764
_cell_length_c 5.4688
_cell_angle_alpha 90.00
_cell_angle_beta 90.00
_cell_angle_gamma 90.00
_space_group_name_H-M_alt 'P -4 2 m'
_space_group_IT_number 111
loop_
_space_group_symop_operation_xyz
'x,y,z'
'y,-x,-z'
'-x,-y,z'
'-y,x,-z'
'x,-y,-z'
'y,x,z'
'-x,y,-z'
'-y,-x,z'
loop_
_atom_site_label
_atom_site_fract_x
_atom_site_fract_y
_atom_site_fract_z
_atom_site_occupancy
Cu1 0.0000 0.0000 0.0000 1
Ge1 0.0000 0.5000 0.5000 1
Se1 0.2601 0.2601 0.2269 1
```

The 10 most intense peaks (10 to 80 degrees two-theta), by intensity:
2θ 27.57, d 3.236, intensity 100; 2θ 46.09, d 1.969, intensity 45; 2θ 53.75, d 1.706, intensity 29; 2θ 45.18, d 2.007, intensity 25; 2θ 55.35, d 1.660, intensity 12; 2θ 74.13, d 1.279, intensity 10; 2θ 65.81, d 1.419, intensity 8; 2θ 72.77, d 1.300, intensity 6; 2θ 35.64, d 2.519, intensity 6; 2θ 22.58, d 3.938, intensity 5



# 2
The following is a theoretical powder XRD pattern of Cu2GeTe2Se. It was derived from a DFT-relaxed cell (PBE, Alexandria), using Cu Kα, 1.54184 Å.

Structural model:
```
data_Cu2GeTe2Se
_cell_length_a 12.5796
_cell_length_b 7.1606
_cell_length_c 6.8865
_cell_angle_alpha 90.00
_cell_angle_beta 90.00
_cell_angle_gamma 90.00
_space_group_name_H-M_alt 'C m c 21'
_space_group_IT_number 36
loop_
_space_group_symop_operation_xyz
'x,y,z'
'-x,-y,z+1/2'
'-x,y,z'
'x,-y,z+1/2'
'x+1/2,y+1/2,z'
'-x+1/2,-y+1/2,z+1/2'
'-x+1/2,y+1/2,z'
'x+1/2,-y+1/2,z+1/2'
loop_
_atom_site_label
_atom_site_fract_x
_atom_site_fract_y
_atom_site_fract_z
_atom_site_occupancy
Cu1 0.1587 0.1758 0.0000 1
Ge1 0.0000 0.3400 0.5023 1
Te1 0.1698 0.1645 0.3740 1
Se1 0.0000 0.3284 0.8795 1
```

The 10 most intense peaks (10 to 80 degrees two-theta), by intensity:
2θ 24.60, d 3.618, intensity 100; 2θ 25.88, d 3.443, intensity 94; 2θ 46.87, d 1.938, intensity 93; 2θ 43.63, d 2.074, intensity 86; 2θ 27.85, d 3.203, intensity 83; 2θ 51.43, d 1.777, intensity 55; 2θ 24.87, d 3.580, intensity 53; 2θ 47.02, d 1.932, intensity 45; 2θ 43.15, d 2.097, intensity 44; 2θ 28.09, d 3.177, intensity 41